Diffraction record for LiAl2Ge. The powder diffractogram is simulated, not measured: it uses a DFT-relaxed cell (GGA-PBE, the Materials Project) and Cu Kα (λ = 1.5418 Å).

Peak list (8 most intense, 10 to 90 degrees two-theta, in order of rising 2θ)
d (Å)  two_theta  I/Imax
3.766  23.63  68
2.306  39.06  100
1.967  46.16  34
1.631  56.43  17
1.496  62.02  14
1.331  70.77  34
1.153  83.92  10
1.102  88.73  10

Structure:
Cell: 4.612 4.612 4.612 Å, 60.00 60.00 60.00°
Sites, in units of the cell vectors:
Li 0.000 0.000 0.000
Al 0.250 0.250 0.250
Al 0.750 0.750 0.750
Ge 0.500 0.500 0.500